Starting from a DFT-relaxed cell (GGA-PBE, Alexandria), the PXRD pattern of CsHgAuF6 was computed for CuKα.

Atomic structure:
```
CsHgAuF6
1.0
5.761 0.000 0.000
-1.680 5.571 0.000
-0.724 -0.967 6.547
Cs Hg Au F
1 1 1 6
Direct
0.000 0.000 0.000
0.292 0.713 0.501
0.712 0.292 0.503
0.033 0.320 0.657
0.089 0.564 0.223
0.391 0.267 0.354
0.439 0.916 0.778
0.694 0.974 0.354
0.725 0.608 0.647
```

Main lines, by angle (2θ from 10° to 90°):
- 6.547 Å, I 77, hkl 0 0 1
- 4.557 Å, I 21, hkl 0 1 -1
- 4.531 Å, I 23, hkl 1 0 -1
- 3.790 Å, I 100, hkl 1 -1 1
- 3.395 Å, I 38, hkl 1 1 0
- 3.271 Å, I 54, hkl 0 0 2
- 2.683 Å, I 29, hkl 0 2 -1
- 2.660 Å, I 26, hkl 2 0 -1
- 2.605 Å, I 34, hkl 1 1 -2
- 1.976 Å, I 24, hkl 1 -1 3